# AcLa4Pm10
Calculated powder diffraction line list, λ = 1.5418 Å (Cu Kα). Input: a structure optimized by DFT (PBE).
Peak positions follow from Bragg's law for the DFT cell and can differ from measured ones.

Crystal structure
a b c (Å): 13.0052 13.0052 6.9048
angles (deg): 90.00 90.00 90.00
Space group I4/m (No. 87)
Asymmetric unit:
Ac 0.0000 0.0000 0.0000
La 0.0668 0.1784 0.5000
Pm 0.0000 0.5000 0.2500
Pm 0.1312 0.7040 0.2498

Most intense lines, 2θ from 10° to 80°, in order of rising 2θ:
| 2θ/deg | d_spacing | Rel. int. | (hkl) |
| --- | --- | --- | --- |
| 19.96 | 4.448 | 32 | 2 1 1 |
| 27.60 | 3.232 | 70 | 1 1 2 |
| 27.91 | 3.197 | 39 | 3 2 1 |
| 29.13 | 3.065 | 30 | 3 3 0 |
| 30.75 | 2.908 | 100 | 2 4 0 |
| 33.90 | 2.644 | 72 | 3 1 2 |
| 35.19 | 2.551 | 29 | 5 1 0 |
| 39.31 | 2.292 | 33 | 3 3 2 |
| 44.15 | 2.051 | 42 | 5 1 2 |
| 51.74 | 1.767 | 27 | 2 6 2 |

***

# Nb2Sn2Se
Calculated powder diffraction line list, λ = 1.5418 Å (Cu Kα). Input: a structure optimized by DFT (PBE).
Peak positions follow from Bragg's law for the DFT cell and can differ from measured ones.

Crystal structure
a b c (Å): 7.2382 7.2382 4.0083
angles (deg): 90.00 90.00 90.00
Space group P4/mbm (No. 127)
Asymmetric unit:
Nb 0.1570 0.3430 0.0000
Sn 0.1431 0.6431 0.5000
Se 0.0000 0.0000 0.0000

Most intense lines, 2θ from 10° to 80°, in order of rising 2θ:
| 2θ/deg | d_spacing | Rel. int. | (hkl) |
| --- | --- | --- | --- |
| 17.33 | 5.118 | 7 | 1 1 0 |
| 28.28 | 3.156 | 11 | 1 1 1 |
| 35.65 | 2.518 | 100 | 2 1 1 |
| 39.36 | 2.289 | 35 | 3 1 0 |
| 45.24 | 2.004 | 16 | 0 0 2 |
| 53.73 | 1.706 | 7 | 3 3 0 |
| 57.29 | 1.608 | 9 | 4 1 1 |
| 61.50 | 1.508 | 19 | 3 1 2 |
| 74.45 | 1.274 | 18 | 5 2 1 |
| 77.25 | 1.235 | 11 | 2 1 3 |